For MoH2Cl2O3, the GGA+U geometry in Alexandria gives the theoretical XRD peak list in this record (copper Kα).
Kinematic intensities with the Lorentz-polarization factor, no thermal factor.

Peak list (12 most intense, 10 to 80 degrees two-theta, sorted by position)
2θ/deg, intensity, h k l
15.04, 100, 1 0 1
18.91, 14, 2 0 0
23.52, 30, 0 0 2
24.74, 35, 1 1 0
25.72, 45, 0 1 1
30.93, 15, 3 0 1
36.88, 23, 1 0 3
38.35, 20, 4 0 0
42.71, 10, 0 1 3
45.49, 9, 4 0 2
46.76, 17, 4 1 1
49.27, 9, 1 2 1

Structural model:
Cell lengths 9.386, 3.896, 7.564 Å; angles 90.00, 90.00, 90.00 degrees
Space group Pmn2_1 (No. 31)
One atom of each set of equivalent atoms:
Mo  0.000  0.238  0.000 [2 per cell]
H  0.084  0.390  0.630 [4 per cell]
Cl  0.245  0.306  0.945 [4 per cell]
O  0.000  0.272  0.224 [2 per cell]
O  0.000  0.289  0.687 [2 per cell]
O  0.000  0.783  0.968 [2 per cell]